For K2Sn2Te3, a crystal structure in Alexandria, relaxed with PBE gives the computed powder XRD pattern in this record (a wavelength of 1.5418 Å).
Kinematic intensities with the Lorentz-polarization factor, no thermal factor.

Largest 10 diffraction maxima, low angle first, 2θ = 10–90°:
11.17 deg, rel. 66; 14.96 deg, rel. 77; 25.07 deg, rel. 100; 26.39 deg, rel. 38; 28.45 deg, rel. 29; 30.54 deg, rel. 82; 30.87 deg, rel. 63; 33.92 deg, rel. 35; 36.18 deg, rel. 75; 39.46 deg, rel. 42

Crystal structure
Cell lengths 8.115, 8.491, 8.468 Å; angles 90.00, 102.52, 90.00 degrees
Fractional coordinates of all 14 atoms:
K  0.201  0.164  0.368
K  0.201  0.336  0.868
K  0.799  0.664  0.132
K  0.799  0.836  0.632
Sn  0.321  0.676  0.482
Sn  0.321  0.824  0.982
Sn  0.679  0.176  0.018
Sn  0.679  0.324  0.518
Te  0.000  0.000  0.000
Te  0.000  0.500  0.500
Te  0.443  0.028  0.747
Te  0.443  0.472  0.247
Te  0.557  0.528  0.753
Te  0.557  0.972  0.253

=====

For PuAg2TeS2, a crystal structure in Alexandria, relaxed with PBE gives the computed powder XRD pattern in this record (a wavelength of 1.5418 Å).
Kinematic intensities with the Lorentz-polarization factor, no thermal factor.

Largest 10 diffraction maxima, low angle first, 2θ = 10–90°:
12.73 deg, rel. 68; 20.45 deg, rel. 53; 29.04 deg, rel. 69; 31.77 deg, rel. 100; 32.75 deg, rel. 59; 33.04 deg, rel. 83; 33.75 deg, rel. 69; 34.18 deg, rel. 65; 39.65 deg, rel. 56; 47.74 deg, rel. 32

Crystal structure
Cell lengths 7.013, 5.312, 7.603 Å; angles 90.00, 97.26, 90.00 degrees
Fractional coordinates of all 12 atoms:
Pu  0.055  0.250  0.312
Pu  0.945  0.750  0.688
Ag  0.185  0.250  0.890
Ag  0.485  0.250  0.174
Ag  0.515  0.750  0.826
Ag  0.815  0.750  0.110
Te  0.234  0.750  0.096
Te  0.766  0.250  0.904
S  0.250  0.503  0.589
S  0.250  0.997  0.589
S  0.750  0.003  0.411
S  0.750  0.497  0.411

=====

For La5Pr2Er3, a crystal structure in Alexandria, relaxed with PBE gives the computed powder XRD pattern in this record (a wavelength of 1.5418 Å).
Kinematic intensities with the Lorentz-polarization factor, no thermal factor.

Largest 10 diffraction maxima, low angle first, 2θ = 10–90°:
28.93 deg, rel. 100; 30.65 deg, rel. 55; 30.66 deg, rel. 52; 31.75 deg, rel. 23; 32.32 deg, rel. 51; 33.61 deg, rel. 19; 35.38 deg, rel. 27; 48.45 deg, rel. 23; 61.90 deg, rel. 27; 68.50 deg, rel. 17

Crystal structure
Cell lengths 9.315, 9.315, 10.194 Å; angles 108.84, 108.84, 107.00 degrees
Fractional coordinates of all 20 atoms:
La  0.026  0.974  0.750
La  0.126  0.366  0.746
La  0.232  0.768  0.750
La  0.273  0.727  0.250
La  0.366  0.126  0.246
La  0.634  0.874  0.754
La  0.727  0.273  0.750
La  0.768  0.232  0.250
La  0.874  0.634  0.254
La  0.974  0.026  0.250
Pr  0.225  0.467  0.440
Pr  0.467  0.225  0.940
Pr  0.533  0.775  0.060
Pr  0.775  0.533  0.560
Er  0.034  0.282  0.056
Er  0.282  0.034  0.556
Er  0.480  0.520  0.250
Er  0.520  0.480  0.750
Er  0.718  0.966  0.444
Er  0.966  0.718  0.944

=====

For CsThTl2Br8, a crystal structure in Alexandria, relaxed with PBE gives the computed powder XRD pattern in this record (a wavelength of 1.5418 Å).
Kinematic intensities with the Lorentz-polarization factor, no thermal factor.

Largest 10 diffraction maxima, low angle first, 2θ = 10–90°:
17.93 deg, rel. 100; 18.03 deg, rel. 60; 21.87 deg, rel. 53; 21.98 deg, rel. 54; 22.14 deg, rel. 51; 31.33 deg, rel. 54; 33.68 deg, rel. 46; 35.04 deg, rel. 72; 36.46 deg, rel. 39; 37.61 deg, rel. 45

Crystal structure
Cell lengths 6.255, 8.030, 10.647 Å; angles 90.07, 90.29, 90.33 degrees
Fractional coordinates of all 12 atoms:
Cs  0.000  0.000  0.000
Th  0.000  0.000  0.500
Tl  0.497  0.500  0.724
Tl  0.503  0.500  0.276
Br  0.227  0.693  0.498
Br  0.243  0.506  0.000
Br  0.249  0.137  0.301
Br  0.253  0.133  0.701
Br  0.747  0.867  0.299
Br  0.751  0.863  0.699
Br  0.757  0.494  0.000
Br  0.773  0.307  0.502

=====

For Li5Nd4Tl6, a crystal structure in Alexandria, relaxed with PBE gives the computed powder XRD pattern in this record (a wavelength of 1.5418 Å).
Kinematic intensities with the Lorentz-polarization factor, no thermal factor.

Largest 10 diffraction maxima, low angle first, 2θ = 10–90°:
25.30 deg, rel. 43; 25.67 deg, rel. 62; 28.54 deg, rel. 39; 29.11 deg, rel. 44; 32.62 deg, rel. 28; 33.64 deg, rel. 100; 34.37 deg, rel. 31; 35.45 deg, rel. 38; 36.68 deg, rel. 51; 51.16 deg, rel. 27

Crystal structure
Cell lengths 10.473, 10.473, 15.192 Å; angles 90.00, 90.00, 152.94 degrees
Fractional coordinates of all 30 atoms:
Li  0.011  0.989  0.500
Li  0.127  0.873  0.000
Li  0.165  0.835  0.302
Li  0.166  0.834  0.699
Li  0.274  0.726  0.001
Li  0.726  0.274  0.501
Li  0.834  0.166  0.199
Li  0.835  0.165  0.802
Li  0.873  0.127  0.500
Li  0.989  0.011  0.000
Nd  0.329  0.671  0.363
Nd  0.330  0.670  0.638
Nd  0.436  0.564  0.147
Nd  0.436  0.564  0.853
Nd  0.564  0.436  0.353
Nd  0.564  0.436  0.647
Nd  0.670  0.330  0.138
Nd  0.671  0.329  0.863
Tl  0.058  0.942  0.184
Tl  0.059  0.941  0.816
Tl  0.147  0.853  0.500
Tl  0.272  0.728  0.170
Tl  0.272  0.728  0.831
Tl  0.449  0.551  0.500
Tl  0.551  0.449  0.000
Tl  0.728  0.272  0.331
Tl  0.728  0.272  0.670
Tl  0.853  0.147  0.000
Tl  0.941  0.059  0.316
Tl  0.942  0.058  0.684

=====

For SmSc3S6, a crystal structure in Alexandria, relaxed with PBE gives the computed powder XRD pattern in this record (a wavelength of 1.5418 Å).
Kinematic intensities with the Lorentz-polarization factor, no thermal factor.

Largest 10 diffraction maxima, low angle first, 2θ = 10–90°:
21.92 deg, rel. 35; 24.56 deg, rel. 46; 25.04 deg, rel. 98; 29.27 deg, rel. 36; 32.45 deg, rel. 100; 33.55 deg, rel. 35; 35.72 deg, rel. 81; 43.97 deg, rel. 46; 46.03 deg, rel. 33; 47.91 deg, rel. 51

Crystal structure
Cell lengths 10.660, 3.797, 10.872 Å; angles 90.00, 109.41, 90.00 degrees
Fractional coordinates of all 20 atoms:
Sm  0.051  0.250  0.199
Sm  0.949  0.750  0.801
Sc  0.160  0.250  0.589
Sc  0.320  0.750  0.001
Sc  0.444  0.250  0.335
Sc  0.556  0.750  0.665
Sc  0.680  0.250  0.999
Sc  0.840  0.750  0.411
S  0.081  0.750  0.411
S  0.122  0.250  0.965
S  0.202  0.750  0.749
S  0.271  0.750  0.231
S  0.392  0.250  0.557
S  0.476  0.250  0.113
S  0.524  0.750  0.887
S  0.608  0.750  0.443
S  0.729  0.250  0.769
S  0.798  0.250  0.251
S  0.878  0.750  0.035
S  0.919  0.250  0.589

=====

For Sm4Y2Er5, a crystal structure in Alexandria, relaxed with PBE gives the computed powder XRD pattern in this record (a wavelength of 1.5418 Å).
Kinematic intensities with the Lorentz-polarization factor, no thermal factor.

Largest 10 diffraction maxima, low angle first, 2θ = 10–90°:
30.85 deg, rel. 35; 31.09 deg, rel. 20; 31.58 deg, rel. 100; 31.71 deg, rel. 58; 31.83 deg, rel. 85; 44.83 deg, rel. 25; 46.07 deg, rel. 14; 56.41 deg, rel. 19; 56.56 deg, rel. 17; 57.01 deg, rel. 15

Crystal structure
Cell lengths 9.993, 9.993, 6.556 Å; angles 91.30, 91.30, 32.80 degrees
Fractional coordinates of all 11 atoms:
Sm  0.021  0.021  0.284
Sm  0.304  0.304  0.927
Sm  0.696  0.696  0.073
Sm  0.979  0.979  0.716
Y  0.401  0.401  0.447
Y  0.599  0.599  0.553
Er  0.130  0.130  0.892
Er  0.209  0.209  0.402
Er  0.500  0.500  0.000
Er  0.791  0.791  0.598
Er  0.870  0.870  0.108

=====

For Pr2SmEr4Tm, a crystal structure in Alexandria, relaxed with PBE gives the computed powder XRD pattern in this record (a wavelength of 1.5418 Å).
Kinematic intensities with the Lorentz-polarization factor, no thermal factor.

Largest 10 diffraction maxima, low angle first, 2θ = 10–90°:
30.68 deg, rel. 100; 35.32 deg, rel. 17; 35.45 deg, rel. 17; 35.95 deg, rel. 16; 50.91 deg, rel. 12; 51.33 deg, rel. 24; 60.54 deg, rel. 15; 60.70 deg, rel. 14; 61.38 deg, rel. 14; 63.89 deg, rel. 12

Crystal structure
Cell lengths 7.171, 9.991, 7.178 Å; angles 90.00, 90.19, 90.00 degrees
Fractional coordinates of all 16 atoms:
Pr  0.000  0.000  0.000
Pr  0.000  0.000  0.500
Pr  0.000  0.500  0.000
Pr  0.500  0.000  0.000
Sm  0.000  0.500  0.500
Sm  0.500  0.000  0.500
Er  0.253  0.254  0.251
Er  0.253  0.254  0.749
Er  0.253  0.746  0.251
Er  0.253  0.746  0.749
Er  0.747  0.254  0.251
Er  0.747  0.254  0.749
Er  0.747  0.746  0.251
Er  0.747  0.746  0.749
Tm  0.500  0.500  0.000
Tm  0.500  0.500  0.500

=====

For GeSF2, a crystal structure in Alexandria, relaxed with PBE gives the computed powder XRD pattern in this record (a wavelength of 1.5418 Å).
Kinematic intensities with the Lorentz-polarization factor, no thermal factor.

Largest 10 diffraction maxima, low angle first, 2θ = 10–90°:
14.61 deg, rel. 29; 16.95 deg, rel. 100; 18.45 deg, rel. 45; 27.25 deg, rel. 63; 27.88 deg, rel. 30; 31.94 deg, rel. 35; 37.62 deg, rel. 14; 38.44 deg, rel. 17; 42.06 deg, rel. 21; 46.74 deg, rel. 20

Crystal structure
Cell lengths 5.797, 5.239, 13.434 Å; angles 90.00, 115.48, 90.00 degrees
Fractional coordinates of all 16 atoms:
Ge  0.088  0.000  0.338
Ge  0.088  0.500  0.838
Ge  0.912  0.000  0.662
Ge  0.912  0.500  0.162
S  0.247  0.250  0.250
S  0.247  0.250  0.750
S  0.753  0.750  0.250
S  0.753  0.750  0.750
F  0.007  0.687  0.079
F  0.007  0.813  0.579
F  0.349  0.687  0.921
F  0.349  0.813  0.421
F  0.651  0.187  0.579
F  0.651  0.313  0.079
F  0.993  0.187  0.421
F  0.993  0.313  0.921

=====

For ZrTlCd, a crystal structure in Alexandria, relaxed with PBE gives the computed powder XRD pattern in this record (a wavelength of 1.5418 Å).
Kinematic intensities with the Lorentz-polarization factor, no thermal factor.

Largest 10 diffraction maxima, low angle first, 2θ = 10–90°:
11.61 deg, rel. 17; 32.80 deg, rel. 31; 35.34 deg, rel. 25; 35.49 deg, rel. 100; 48.98 deg, rel. 20; 60.31 deg, rel. 21; 63.53 deg, rel. 18; 63.83 deg, rel. 9; 75.12 deg, rel. 11; 82.71 deg, rel. 9

Crystal structure
Cell lengths 8.094, 7.813, 3.230 Å; angles 83.23, 73.43, 23.34 degrees
Fractional coordinates of all 3 atoms:
Zr  0.000  0.000  0.000
Tl  0.332  0.332  0.668
Cd  0.664  0.664  0.336

=====

For La7Nd2, a crystal structure in Alexandria, relaxed with PBE gives the computed powder XRD pattern in this record (a wavelength of 1.5418 Å).
Kinematic intensities with the Lorentz-polarization factor, no thermal factor.

Largest 10 diffraction maxima, low angle first, 2θ = 10–90°:
29.99 deg, rel. 73; 30.38 deg, rel. 100; 31.69 deg, rel. 20; 36.38 deg, rel. 16; 43.21 deg, rel. 24; 51.53 deg, rel. 15; 53.73 deg, rel. 23; 53.97 deg, rel. 17; 59.31 deg, rel. 30; 76.36 deg, rel. 12

Crystal structure
Cell lengths 10.193, 10.193, 3.673 Å; angles 90.00, 90.00, 120.00 degrees
Fractional coordinates of all 9 atoms:
La  0.000  0.000  0.000
La  0.000  0.314  0.500
La  0.000  0.646  0.000
La  0.314  0.000  0.500
La  0.354  0.354  0.000
La  0.646  0.000  0.000
La  0.686  0.686  0.500
Nd  0.333  0.667  0.500
Nd  0.667  0.333  0.500

=====

For Sc2Al9Fe3, a crystal structure in Alexandria, relaxed with PBE gives the computed powder XRD pattern in this record (a wavelength of 1.5418 Å).
Kinematic intensities with the Lorentz-polarization factor, no thermal factor.

Largest 10 diffraction maxima, low angle first, 2θ = 10–90°:
19.32 deg, rel. 32; 31.30 deg, rel. 36; 38.31 deg, rel. 71; 38.41 deg, rel. 35; 39.22 deg, rel. 41; 42.66 deg, rel. 51; 42.93 deg, rel. 100; 46.68 deg, rel. 28; 47.48 deg, rel. 30; 59.55 deg, rel. 26

Crystal structure
Cell lengths 7.327, 7.327, 10.111 Å; angles 111.25, 111.25, 59.59 degrees
Fractional coordinates of all 28 atoms:
Sc  0.087  0.252  0.249
Sc  0.252  0.087  0.749
Sc  0.748  0.913  0.251
Sc  0.913  0.748  0.751
Al  0.020  0.861  0.072
Al  0.139  0.980  0.428
Al  0.187  0.358  0.569
Al  0.194  0.581  0.252
Al  0.314  0.485  0.950
Al  0.351  0.649  0.750
Al  0.358  0.187  0.069
Al  0.419  0.806  0.248
Al  0.485  0.314  0.450
Al  0.515  0.686  0.550
Al  0.581  0.194  0.752
Al  0.642  0.813  0.931
Al  0.649  0.351  0.250
Al  0.686  0.515  0.050
Al  0.806  0.419  0.748
Al  0.813  0.642  0.431
Al  0.861  0.020  0.572
Al  0.980  0.139  0.928
Fe  0.000  0.500  0.000
Fe  0.156  0.672  0.499
Fe  0.328  0.844  0.001
Fe  0.500  0.000  0.500
Fe  0.672  0.156  0.999
Fe  0.844  0.328  0.501